# Ca2MnAl2Si3HO13
Simulated X-ray powder pattern, Cu Kα, 1.54184 Å. Input: a DFT-relaxed cell (PBE+U, Alexandria).

Peak list (8 most intense, 10° ≤ 2θ ≤ 90°, most intense first)
2θ 30.46, intensity 100; 2θ 32.98, intensity 46; 2θ 34.21, intensity 43; 2θ 31.02, intensity 38; 2θ 55.79, intensity 35; 2θ 42.12, intensity 35; 2θ 22.11, intensity 34; 2θ 37.04, intensity 32

```
Ca2MnAl2Si3HO13
1.0
8.9352 0.0000 0.0000
0.0000 5.7665 0.0000
-4.4238 0.0000 9.2377
Ca Mn Al Si H O
4 2 4 6 2 26
direct
0.0956 0.2500 0.4276
0.2525 0.2500 0.1522
0.7475 0.7500 0.8478
0.9044 0.7500 0.5724
0.2032 0.2500 0.7789
0.7968 0.7500 0.2211
0.5000 0.0000 0.0000
0.5000 0.0000 0.5000
0.5000 0.5000 0.0000
0.5000 0.5000 0.5000
0.1607 0.7500 0.9548
0.1849 0.7500 0.2732
0.3133 0.7500 0.6803
0.6867 0.2500 0.3197
0.8151 0.2500 0.7268
0.8393 0.2500 0.0452
0.4379 0.2500 0.6685
0.5621 0.7500 0.3315
0.0116 0.2500 0.1856
0.0316 0.7500 0.3178
0.1116 0.7500 0.0941
0.1914 0.5222 0.6419
0.1914 0.9778 0.6419
0.2708 0.5101 0.9689
0.2708 0.9899 0.9689
0.2988 0.5178 0.3339
0.2988 0.9822 0.3339
0.4099 0.2500 0.5645
0.4302 0.7500 0.5908
0.4402 0.2500 0.8686
0.4551 0.7500 0.8550
0.5449 0.2500 0.1450
0.5598 0.7500 0.1314
0.5698 0.2500 0.4092
0.5901 0.7500 0.4355
0.7012 0.0178 0.6661
0.7012 0.4822 0.6661
0.7292 0.0101 0.0311
0.7292 0.4899 0.0311
0.8086 0.0222 0.3581
0.8086 0.4778 0.3581
0.8884 0.2500 0.9059
0.9684 0.2500 0.6822
0.9884 0.7500 0.8144
```